Computed X-ray powder pattern
Compound: VO2
Radiation: CuKα
Structure: a DFT-relaxed cell (GGA+U, Alexandria)
No peak broadening, texture or thermal motion is included.

Structural model:
```
data_VO2
_chemical_formula_sum 'V4 O8'
_symmetry_space_group_name_H-M 'P -1'
_symmetry_Int_Tables_number 2
_symmetry_space_group_name_Hall '-P 1'
_cell_length_a 4.9475
_cell_length_b 5.3707
_cell_length_c 6.0332
_cell_angle_alpha 89.65
_cell_angle_beta 72.40
_cell_angle_gamma 81.05
loop_
_atom_site_label
_atom_site_fract_x
_atom_site_fract_y
_atom_site_fract_z
V1 0.0158 0.2452 0.3616
V2 0.3576 0.1888 0.7755
O1 0.2036 0.3844 0.5849
O2 0.2334 0.9107 0.7903
O3 0.2584 0.8849 0.3474
O4 0.2587 0.3202 0.0538
```

The 10 most intense peaks (2θ = 10–90°), by intensity:
| Position (°2θ) | I_rel |
| --- | --- |
| 28.1 | 100 |
| 23.3 | 40 |
| 34.9 | 37 |
| 25.0 | 35 |
| 34.7 | 30 |
| 33.8 | 28 |
| 15.4 | 24 |
| 31.2 | 22 |
| 16.7 | 19 |
| 37.0 | 18 |

=====

Computed X-ray powder pattern
Compound: V2O5
Radiation: CuKα
Structure: a DFT-relaxed cell (GGA+U, Alexandria)
No peak broadening, texture or thermal motion is included.

Structural model:
```
data_V2O5
_chemical_formula_sum 'V8 O20'
_symmetry_space_group_name_H-M 'P n m a'
_symmetry_Int_Tables_number 62
_symmetry_space_group_name_Hall '-P 2ac 2n'
_cell_length_a 10.2077
_cell_length_b 3.6359
_cell_length_c 10.8208
_cell_angle_alpha 90.00
_cell_angle_beta 90.00
_cell_angle_gamma 90.00
loop_
_atom_site_label
_atom_site_fract_x
_atom_site_fract_y
_atom_site_fract_z
V1 0.0725 0.2500 0.0949
V2 0.1241 0.7500 0.5051
O1 0.0042 0.2500 0.2287
O2 0.0646 0.7500 0.0382
O3 0.0713 0.2500 0.5291
O4 0.2029 0.7500 0.3767
O5 0.2474 0.2500 0.1213
```

The 10 most intense peaks (2θ = 10–90°), by intensity:
| Position (°2θ) | I_rel |
| --- | --- |
| 16.4 | 100 |
| 27.3 | 63 |
| 30.9 | 25 |
| 27.5 | 24 |
| 26.2 | 22 |
| 50.2 | 20 |
| 17.4 | 19 |
| 18.6 | 18 |
| 42.7 | 18 |
| 31.0 | 17 |

=====

Computed X-ray powder pattern
Compound: V7O4
Radiation: CuKα
Structure: a DFT-relaxed cell (GGA+U, Alexandria)
No peak broadening, texture or thermal motion is included.

Structural model:
```
data_V7O4
_chemical_formula_sum 'V14 O8'
_symmetry_space_group_name_H-M 'C 1 2/m 1'
_symmetry_Int_Tables_number 12
_symmetry_space_group_name_Hall '-C 2y'
_cell_length_a 10.2348
_cell_length_b 3.0952
_cell_length_c 8.8840
_cell_angle_alpha 90.00
_cell_angle_beta 94.66
_cell_angle_gamma 90.00
loop_
_atom_site_label
_atom_site_fract_x
_atom_site_fract_y
_atom_site_fract_z
V1 0.0000 0.0000 0.0000
V2 0.0704 0.5000 0.3090
V3 0.1471 0.0000 0.5652
V4 0.2188 0.5000 0.8391
O1 0.0692 0.0000 0.7801
O2 0.1436 0.5000 0.0757
```

The 10 most intense peaks (2θ = 10–90°), by intensity:
| Position (°2θ) | I_rel |
| --- | --- |
| 41.3 | 100 |
| 36.1 | 67 |
| 43.2 | 37 |
| 35.8 | 35 |
| 36.4 | 32 |
| 60.9 | 24 |
| 61.7 | 21 |
| 59.8 | 15 |
| 59.8 | 14 |
| 76.6 | 11 |

=====

Computed X-ray powder pattern
Compound: V6O13
Radiation: CuKα
Structure: a DFT-relaxed cell (GGA+U, Alexandria)
No peak broadening, texture or thermal motion is included.

Structural model:
```
data_V6O13
_chemical_formula_sum 'V24 O52'
_symmetry_space_group_name_H-M 'F m m m'
_symmetry_Int_Tables_number 69
_symmetry_space_group_name_Hall '-F 2 2'
_cell_length_a 3.7667
_cell_length_b 12.0275
_cell_length_c 20.0645
_cell_angle_alpha 90.00
_cell_angle_beta 90.00
_cell_angle_gamma 90.00
loop_
_atom_site_label
_atom_site_fract_x
_atom_site_fract_y
_atom_site_fract_z
V1 0.0000 0.1477 0.1834
V2 0.0000 0.1493 0.0000
O1 0.0000 0.0000 0.0000
O2 0.0000 0.0000 0.1978
O3 0.0000 0.1524 0.0995
O4 0.0000 0.1769 0.2974
O5 0.0000 0.1796 0.5000
```

The 10 most intense peaks (2θ = 10–90°), by intensity:
| Position (°2θ) | I_rel |
| --- | --- |
| 25.2 | 100 |
| 26.7 | 83 |
| 45.2 | 74 |
| 14.7 | 66 |
| 29.7 | 58 |
| 32.9 | 47 |
| 48.3 | 44 |
| 33.5 | 37 |
| 17.7 | 35 |
| 68.3 | 33 |